# 1
Diffraction record for MgSc2Se4. The X-ray diffraction stick pattern is computed, not measured: it uses a GGA-PBE-relaxed structure and copper Kα.

```
data_MgSc2Se4
_cell_length_a 12.738
_cell_length_b 7.569
_cell_length_c 13.082
_cell_angle_alpha 90.00
_cell_angle_beta 90.00
_cell_angle_gamma 90.00
_space_group_name_H-M_alt 'P c a 21'
_space_group_IT_number 29
loop_
_space_group_symop_operation_xyz
'x,y,z'
'-x,-y,z+1/2'
'-x+1/2,y,z+1/2'
'x+1/2,-y,z'
loop_
_atom_site_label
_atom_site_type_symbol
_atom_site_fract_x
_atom_site_fract_y
_atom_site_fract_z
_atom_site_occupancy
Mg1 Mg 0.109 0.120 0.000 1
Mg2 Mg 0.126 0.622 0.364 1
Sc1 Sc 0.107 0.619 0.000 1
Sc2 Sc 0.128 0.120 0.360 1
Sc3 Sc 0.132 0.371 0.697 1
Sc4 Sc 0.133 0.872 0.700 1
Se1 Se 0.016 0.629 0.812 1
Se2 Se 0.018 0.121 0.814 1
Se3 Se 0.038 0.623 0.555 1
Se4 Se 0.039 0.131 0.555 1
Se5 Se 0.216 0.121 0.174 1
Se6 Se 0.216 0.620 0.176 1
Se7 Se 0.229 0.372 0.906 1
Se8 Se 0.231 0.869 0.908 1
```

Most intense lines, 2θ = 10–80°, sorted by position:
hkl 1 2 2, 2θ = 28.13°, rel. 29
hkl 2 0 4, 2θ = 30.73°, rel. 100
hkl 1 2 3, 2θ = 32.09°, rel. 25
hkl 3 2 1, 2θ = 32.42°, rel. 86
hkl 3 2 2, 2θ = 34.58°, rel. 68
hkl 1 2 5, 2θ = 42.60°, rel. 34
hkl 5 2 2, 2θ = 45.08°, rel. 22
hkl 6 0 3, 2θ = 47.64°, rel. 32
hkl 0 4 0, 2θ = 48.09°, rel. 31
hkl 2 4 4, 2θ = 58.16°, rel. 34



# 2
Diffraction record for MgSc2Se4. The X-ray diffraction stick pattern is computed, not measured: it uses a GGA-PBE-relaxed structure and copper Kα.

```
data_MgSc2Se4
_cell_length_a 8.169
_cell_length_b 7.718
_cell_length_c 11.320
_cell_angle_alpha 90.00
_cell_angle_beta 90.00
_cell_angle_gamma 90.00
_space_group_name_H-M_alt 'P n m a'
_space_group_IT_number 62
loop_
_space_group_symop_operation_xyz
'x,y,z'
'-x,-y,-z'
'-x+1/2,-y,z+1/2'
'x+1/2,y,-z+1/2'
'x+1/2,-y+1/2,-z+1/2'
'-x+1/2,y+1/2,z+1/2'
'-x,y+1/2,-z'
'x,-y+1/2,z'
loop_
_atom_site_label
_atom_site_type_symbol
_atom_site_fract_x
_atom_site_fract_y
_atom_site_fract_z
_atom_site_occupancy
Mg1 Mg 0.171 0.250 0.103 1
Sc1 Sc 0.001 0.750 0.206 1
Sc2 Sc 0.062 0.250 0.490 1
Se1 Se 0.098 0.524 0.658 1
Se2 Se 0.115 0.750 0.989 1
Se3 Se 0.214 0.750 0.382 1
```

Most intense lines, 2θ = 10–80°, sorted by position:
hkl 1 0 3, 2θ = 26.01°, rel. 48
hkl 1 2 1, 2θ = 26.73°, rel. 56
hkl 0 2 2, 2θ = 27.98°, rel. 73
hkl 1 1 3, 2θ = 28.51°, rel. 100
hkl 1 2 2, 2θ = 30.09°, rel. 97
hkl 2 2 1, 2θ = 32.89°, rel. 86
hkl 1 2 3, 2θ = 35.03°, rel. 53
hkl 3 1 1, 2θ = 35.86°, rel. 58
hkl 3 0 2, 2θ = 36.62°, rel. 47
hkl 0 4 0, 2θ = 47.10°, rel. 53



# 3
Diffraction record for MgSc2Se4. The X-ray diffraction stick pattern is computed, not measured: it uses a GGA-PBE-relaxed structure and copper Kα.

```
data_MgSc2Se4
_cell_length_a 7.135
_cell_length_b 8.273
_cell_length_c 13.524
_cell_angle_alpha 98.75
_cell_angle_beta 95.11
_cell_angle_gamma 90.06
_space_group_name_H-M_alt 'P -1'
_space_group_IT_number 2
loop_
_space_group_symop_operation_xyz
'x,y,z'
'-x,-y,-z'
loop_
_atom_site_label
_atom_site_type_symbol
_atom_site_fract_x
_atom_site_fract_y
_atom_site_fract_z
_atom_site_occupancy
Mg1 Mg 0.133 0.199 0.298 1
Mg2 Mg 0.249 0.375 0.002 1
Sc1 Sc 0.137 0.700 0.299 1
Sc2 Sc 0.242 0.876 0.000 1
Sc3 Sc 0.368 0.554 0.702 1
Sc4 Sc 0.369 0.047 0.700 1
Se1 Se 0.101 0.150 0.105 1
Se2 Se 0.103 0.654 0.108 1
Se3 Se 0.188 0.282 0.627 1
Se4 Se 0.189 0.781 0.625 1
Se5 Se 0.313 0.469 0.374 1
Se6 Se 0.313 0.968 0.375 1
Se7 Se 0.396 0.601 0.893 1
Se8 Se 0.402 0.095 0.892 1
```

Most intense lines, 2θ = 10–80°, sorted by position:
hkl 0 0 3, 2θ = 20.01°, rel. 42
hkl 2 0 0, 2θ = 25.01°, rel. 41
hkl 1 2 0, 2θ = 25.31°, rel. 100
hkl 0 0 4, 2θ = 26.79°, rel. 54
hkl 1 2 1, 2θ = 27.31°, rel. 70
hkl -1 2 2, 2θ = 29.46°, rel. 79
hkl 2 0 -4, 2θ = 35.23°, rel. 40
hkl 0 4 -1, 2θ = 43.77°, rel. 45
hkl 3 2 -1, 2θ = 43.91°, rel. 90
hkl 1 2 5, 2θ = 46.24°, rel. 87



# 4
Diffraction record for TmMg2Sc. The X-ray diffraction stick pattern is computed, not measured: it uses a GGA-PBE-relaxed structure and copper Kα.

```
data_TmMg2Sc
_cell_length_a 7.348
_cell_length_b 7.348
_cell_length_c 7.348
_cell_angle_alpha 90.00
_cell_angle_beta 90.00
_cell_angle_gamma 90.00
_space_group_name_H-M_alt 'F m -3 m'
_space_group_IT_number 225
_space_group_name_Hall '-F 4 2 3'
loop_
_atom_site_label
_atom_site_type_symbol
_atom_site_fract_x
_atom_site_fract_y
_atom_site_fract_z
_atom_site_occupancy
Tm1 Tm 0.000 0.000 0.000 1
Mg1 Mg 0.250 0.250 0.250 1
Sc1 Sc 0.000 0.000 0.500 1
```

Most intense lines, 2θ = 10–80°, sorted by position:
hkl 1 1 1, 2θ = 20.94°, rel. 49
hkl 2 0 0, 2θ = 24.23°, rel. 46
hkl 2 2 0, 2θ = 34.52°, rel. 100
hkl 3 1 1, 2θ = 40.73°, rel. 28
hkl 2 2 2, 2θ = 42.62°, rel. 14
hkl 4 0 0, 2θ = 49.63°, rel. 18
hkl 3 3 1, 2θ = 54.43°, rel. 13
hkl 4 2 0, 2θ = 55.96°, rel. 18
hkl 4 2 2, 2θ = 61.86°, rel. 36
hkl 4 4 0, 2θ = 72.81°, rel. 11



# 5
Diffraction record for Mg3ScZn8. The X-ray diffraction stick pattern is computed, not measured: it uses a GGA-PBE-relaxed structure and copper Kα.

```
data_Mg3ScZn8
_cell_length_a 8.973
_cell_length_b 5.195
_cell_length_c 8.669
_cell_angle_alpha 90.00
_cell_angle_beta 90.06
_cell_angle_gamma 90.00
_space_group_name_H-M_alt 'C 1 m 1'
_space_group_IT_number 8
loop_
_space_group_symop_operation_xyz
'x,y,z'
'x,-y,z'
'x+1/2,y+1/2,z'
'x+1/2,-y+1/2,z'
loop_
_atom_site_label
_atom_site_type_symbol
_atom_site_fract_x
_atom_site_fract_y
_atom_site_fract_z
_atom_site_occupancy
Mg1 Mg 0.000 0.000 0.000 1
Mg2 Mg 0.000 0.000 0.378 1
Mg3 Mg 0.333 0.000 0.874 1
Sc1 Sc 0.333 0.000 0.500 1
Zn1 Zn 0.082 0.246 0.689 1
Zn2 Zn 0.167 0.500 0.441 1
Zn3 Zn 0.167 0.500 0.944 1
Zn4 Zn 0.252 0.245 0.190 1
Zn5 Zn 0.336 0.500 0.689 1
Zn6 Zn 0.496 0.000 0.190 1
```

Most intense lines, 2θ = 10–80°, sorted by position:
hkl 1 1 0, 2θ = 19.76°, rel. 47
hkl 0 0 2, 2θ = 20.49°, rel. 28
hkl 2 0 -1, 2θ = 22.29°, rel. 29
hkl 2 0 3, 2θ = 36.99°, rel. 48
hkl 3 1 2, 2θ = 40.53°, rel. 100
hkl 2 2 1, 2θ = 41.52°, rel. 96
hkl 0 0 4, 2θ = 41.65°, rel. 55
hkl 2 2 -2, 2θ = 45.46°, rel. 42
hkl 2 2 -3, 2θ = 51.52°, rel. 22
hkl 2 2 5, 2θ = 68.33°, rel. 26



# 6
Diffraction record for Mg5Se. The X-ray diffraction stick pattern is computed, not measured: it uses a GGA-PBE-relaxed structure and copper Kα.

```
data_Mg5Se
_cell_length_a 10.841
_cell_length_b 3.441
_cell_length_c 7.921
_cell_angle_alpha 90.00
_cell_angle_beta 107.57
_cell_angle_gamma 90.00
_space_group_name_H-M_alt 'C 1 m 1'
_space_group_IT_number 8
loop_
_space_group_symop_operation_xyz
'x,y,z'
'x,-y,z'
'x+1/2,y+1/2,z'
'x+1/2,-y+1/2,z'
loop_
_atom_site_label
_atom_site_type_symbol
_atom_site_fract_x
_atom_site_fract_y
_atom_site_fract_z
_atom_site_occupancy
Mg1 Mg 0.000 0.000 0.000 1
Mg2 Mg 0.060 0.000 0.432 1
Mg3 Mg 0.183 0.500 0.813 1
Mg4 Mg 0.316 0.000 0.165 1
Mg5 Mg 0.390 0.000 0.650 1
Se1 Se 0.256 0.500 0.401 1
```

Most intense lines, 2θ = 10–80°, sorted by position:
hkl 0 0 1, 2θ = 11.72°, rel. 77
hkl 2 0 0, 2θ = 17.16°, rel. 35
hkl 2 0 -1, 2θ = 17.63°, rel. 29
hkl 2 0 1, 2θ = 23.59°, rel. 41
hkl 1 1 1, 2θ = 30.86°, rel. 24
hkl 2 0 2, 2θ = 33.35°, rel. 22
hkl 1 1 -2, 2θ = 34.57°, rel. 100
hkl 4 0 -2, 2θ = 35.69°, rel. 39
hkl 3 1 -1, 2θ = 36.27°, rel. 27
hkl 3 1 0, 2θ = 36.92°, rel. 53



# 7
Diffraction record for MgSe2. The X-ray diffraction stick pattern is computed, not measured: it uses a GGA-PBE-relaxed structure and copper Kα.

```
data_MgSe2
_cell_length_a 6.520
_cell_length_b 6.520
_cell_length_c 6.520
_cell_angle_alpha 90.00
_cell_angle_beta 90.00
_cell_angle_gamma 90.00
_space_group_name_H-M_alt 'P a -3'
_space_group_IT_number 205
_space_group_name_Hall '-P 2ac 2ab 3'
loop_
_atom_site_label
_atom_site_type_symbol
_atom_site_fract_x
_atom_site_fract_y
_atom_site_fract_z
_atom_site_occupancy
Mg1 Mg 0.000 0.000 0.000 1
Se1 Se 0.107 0.607 0.893 1
```

Most intense lines, 2θ = 10–80°, sorted by position:
hkl 1 1 1, 2θ = 23.64°, rel. 36
hkl 2 0 0, 2θ = 27.36°, rel. 28
hkl 2 1 0, 2θ = 30.66°, rel. 100
hkl 2 1 1, 2θ = 33.67°, rel. 95
hkl 3 1 1, 2θ = 46.18°, rel. 31
hkl 3 0 2, 2θ = 50.47°, rel. 51
hkl 3 2 1, 2θ = 52.52°, rel. 64
hkl 4 2 1, 2θ = 65.62°, rel. 18
hkl 5 1 1, 2θ = 75.81°, rel. 23
hkl 4 2 3, 2θ = 79.10°, rel. 23



# 8
Diffraction record for MgSe. The X-ray diffraction stick pattern is computed, not measured: it uses a GGA-PBE-relaxed structure and copper Kα.

```
data_MgSe
_cell_length_a 6.001
_cell_length_b 6.001
_cell_length_c 6.001
_cell_angle_alpha 90.00
_cell_angle_beta 90.00
_cell_angle_gamma 90.00
_space_group_name_H-M_alt 'F -4 3 m'
_space_group_IT_number 216
_space_group_name_Hall 'F -4 2 3'
loop_
_atom_site_label
_atom_site_type_symbol
_atom_site_fract_x
_atom_site_fract_y
_atom_site_fract_z
_atom_site_occupancy
Mg1 Mg 0.000 0.000 0.000 1
Se1 Se 0.250 0.250 0.750 1
```

Most intense lines, 2θ = 10–80°, sorted by position:
hkl 1 1 1, 2θ = 25.71°, rel. 100
hkl 2 0 0, 2θ = 29.78°, rel. 21
hkl 2 2 0, 2θ = 42.62°, rel. 60
hkl 3 1 1, 2θ = 50.44°, rel. 46
hkl 2 2 2, 2θ = 52.85°, rel. 6
hkl 4 0 0, 2θ = 61.85°, rel. 10
hkl 3 3 1, 2θ = 68.11°, rel. 18
hkl 4 2 0, 2θ = 70.14°, rel. 7
hkl 4 2 2, 2θ = 78.01°, rel. 19